1.
# PrSm2Ho9
Calculated powder diffractogram, CuKα. Input: a cell relaxed with PBE.
Neutral-atom scattering factors, no anomalous dispersion.

Structure:
abc: 11.2484 11.2484 3.5167
angles: 90.00 90.00 120.00
Fractional positions:
Pr (0.0000, 0.0000, 0.0000)
Sm (0.3333, 0.6667, 0.0000)
Sm (0.6667, 0.3333, 0.0000)
Ho (0.0000, 0.5000, 0.0000)
Ho (0.1769, 0.3538, 0.5000)
Ho (0.1769, 0.8231, 0.5000)
Ho (0.3538, 0.1769, 0.5000)
Ho (0.5000, 0.0000, 0.0000)
Ho (0.5000, 0.5000, 0.0000)
Ho (0.6462, 0.8231, 0.5000)
Ho (0.8231, 0.1769, 0.5000)
Ho (0.8231, 0.6462, 0.5000)

Largest 6 diffraction maxima, low angle first, 2θ = 10–90°:
two_theta	I/Imax
29.97	24
31.37	56
31.82	100
35.29	20
56.42	19
62.27	29


2.
# Pr4Sm10Ho
Calculated powder diffractogram, CuKα. Input: a cell relaxed with PBE.
Neutral-atom scattering factors, no anomalous dispersion.

Structure:
abc: 8.8110 8.8110 8.8110
angles: 111.35 111.35 105.78
Fractional positions:
Pr (0.0603, 0.3286, 0.3889)
Pr (0.3286, 0.9397, 0.2683)
Pr (0.6714, 0.0603, 0.7317)
Pr (0.9397, 0.6714, 0.6111)
Sm (0.1312, 0.4534, 0.9075)
Sm (0.2237, 0.1312, 0.6778)
Sm (0.2500, 0.7500, 0.5000)
Sm (0.4534, 0.5459, 0.3222)
Sm (0.4541, 0.7763, 0.9075)
Sm (0.5459, 0.2237, 0.0925)
Sm (0.5466, 0.4541, 0.6778)
Sm (0.7500, 0.2500, 0.5000)
Sm (0.7763, 0.8688, 0.3222)
Sm (0.8688, 0.5466, 0.0925)
Ho (0.0000, 0.0000, 0.0000)

Largest 6 diffraction maxima, low angle first, 2θ = 10–90°:
two_theta	I/Imax
26.71	86
28.22	87
28.40	100
32.31	77
33.12	89
33.59	39


3.
# Pr2Sm6Ho
Calculated powder diffractogram, CuKα. Input: a cell relaxed with PBE.
Neutral-atom scattering factors, no anomalous dispersion.

Structure:
abc: 10.3342 10.3342 6.1261
angles: 95.59 95.59 69.67
Fractional positions:
Pr (0.0087, 0.3186, 0.0836)
Pr (0.3186, 0.0087, 0.5836)
Pr (0.6814, 0.9913, 0.4164)
Pr (0.9913, 0.6814, 0.9164)
Sm (0.0494, 0.8270, 0.4563)
Sm (0.1602, 0.3797, 0.6220)
Sm (0.1730, 0.9506, 0.0437)
Sm (0.2876, 0.5060, 0.2158)
Sm (0.3797, 0.1602, 0.1220)
Sm (0.4940, 0.7124, 0.2842)
Sm (0.5060, 0.2876, 0.7158)
Sm (0.6202, 0.8398, 0.8780)
Sm (0.7124, 0.4940, 0.7842)
Sm (0.8270, 0.0494, 0.9563)
Sm (0.8398, 0.6202, 0.3780)
Sm (0.9506, 0.1730, 0.5437)
Ho (0.3538, 0.6462, 0.7500)
Ho (0.6462, 0.3538, 0.2500)

Largest 6 diffraction maxima, low angle first, 2θ = 10–90°:
two_theta	I/Imax
29.73	57
30.23	100
31.16	93
36.85	31
37.24	26
54.87	23